# Pr2AlSiBr2
Simulated powder X-ray diffraction pattern, a wavelength of 1.5418 Å. Input: a crystal structure in OQMD, relaxed with GGA-PBE.
Kinematic intensities with the Lorentz-polarization factor, no thermal factor.

Main lines, by angle (15 to 90 degrees two-theta):
2θ = 24.6°, I = 22, hkl 1 0 0
2θ = 25.7°, I = 44, hkl 1 0 1
2θ = 28.9°, I = 47, hkl 1 0 2
2θ = 33.5°, I = 100, hkl 1 0 3
2θ = 43.3°, I = 42, hkl 1 1 0
2θ = 45.6°, I = 22, hkl 0 1 5
2θ = 46.0°, I = 11, hkl 1 1 2
2θ = 55.8°, I = 23, hkl 0 2 3
2θ = 64.7°, I = 29, hkl 1 1 6
2θ = 73.1°, I = 20, hkl 2 1 3

Structure:
```
Pr2AlSiBr2
1.0
4.182 0.000 0.000
-2.091 3.622 0.000
0.000 0.000 11.911
Pr Al Si Br
2 1 1 2
direct
0.000 0.000 0.000
0.000 0.000 0.359
0.333 0.667 0.192
0.667 0.333 0.166
0.333 0.667 0.842
0.667 0.333 0.516
```